Structure and calculated powder diffraction line list of Y2ErTl3Se6 (a structure optimized by DFT (GGA-PBE); copper Kα).

Structure:
```
data_Y2ErTl3Se6
_cell_length_a 7.2366
_cell_length_b 7.2366
_cell_length_c 8.1381
_cell_angle_alpha 98.52
_cell_angle_beta 98.52
_cell_angle_gamma 120.00
_symmetry_space_group_name_H-M 'P 1'
_symmetry_Int_Tables_number 1
_symmetry_space_group_name_Hall 'P 1'
loop_
_atom_site_label
_atom_site_type_symbol
_atom_site_fract_x
_atom_site_fract_y
_atom_site_fract_z
_atom_site_occupancy
Y1 Y 0.1666 0.8334 0.0000 1
Y2 Y 0.8334 0.1666 0.0000 1
Er1 Er 0.5000 0.5000 0.0000 1
Tl1 Tl 0.0000 0.0000 0.5000 1
Tl2 Tl 0.3327 0.6673 0.5000 1
Tl3 Tl 0.6673 0.3327 0.5000 1
Se1 Se 0.1013 0.4321 0.7963 1
Se2 Se 0.2374 0.2374 0.2043 1
Se3 Se 0.4321 0.1013 0.7963 1
Se4 Se 0.5679 0.8987 0.2037 1
Se5 Se 0.7626 0.7626 0.7957 1
Se6 Se 0.8987 0.5679 0.2037 1
```

Principal peaks in the range 15 to 90 degrees two-theta, by angle:
25.8°, rel. 15
29.0°, rel. 100
31.3°, rel. 10
39.7°, rel. 37
43.3°, rel. 35
53.0°, rel. 19
60.2°, rel. 11
65.6°, rel. 13
70.8°, rel. 16
77.0°, rel. 11